The following is a calculated powder diffractogram of BaSb2Xe5F22. It was derived from a crystal structure in the Materials Project, relaxed with GGA-PBE, using Cu Kα (λ = 1.5418 Å).

a b c (Å): 10.0219 9.4677 9.3796
angles (deg): 64.24 58.30 57.45
Positions (direct):
Ba (0.0000, 0.0000, 0.0000)
Sb (0.0000, 0.5000, 0.0000)
Sb (0.5000, 0.0000, 0.5000)
Xe (0.0000, 0.0000, 0.5000)
Xe (0.0000, 0.5000, 0.5000)
Xe (0.5000, 0.0000, 0.0000)
Xe (0.5000, 0.5000, 0.0000)
Xe (0.5000, 0.5000, 0.5000)
F (0.0436, 0.6074, 0.7625)
F (0.0474, 0.2948, 0.9526)
F (0.0600, 0.6978, 0.3022)
F (0.0700, 0.9300, 0.7020)
F (0.2375, 0.4134, 0.9564)
F (0.2948, 0.0474, 0.7052)
F (0.2980, 0.7020, 0.9300)
F (0.3022, 0.9400, 0.0600)
F (0.3526, 0.6474, 0.3526)
F (0.3926, 0.9564, 0.4134)
F (0.4134, 0.2375, 0.3926)
F (0.5866, 0.7625, 0.6074)
F (0.6074, 0.0436, 0.5866)
F (0.6474, 0.3526, 0.6474)
F (0.6978, 0.0600, 0.9400)
F (0.7020, 0.2980, 0.0700)
F (0.7052, 0.9526, 0.2948)
F (0.7625, 0.5866, 0.0436)
F (0.9300, 0.0700, 0.2980)
F (0.9400, 0.3022, 0.6978)
F (0.9526, 0.7052, 0.0474)
F (0.9564, 0.3926, 0.2375)

Largest 10 diffraction maxima, by angle, 10 to 90 degrees two-theta:
d/Å, Position (°2θ), I (rel.)
3.900, 22.80, 100
3.572, 24.92, 18
3.514, 25.35, 13
3.106, 28.74, 15
2.505, 35.85, 13
2.344, 38.40, 12
2.120, 42.64, 17
2.095, 43.17, 18
1.950, 46.58, 15
1.914, 47.51, 13


The following is a calculated powder diffractogram of Rb2CuF6. It was derived from a crystal structure in the Materials Project, relaxed with GGA-PBE, using Cu Kα (λ = 1.5418 Å).

a b c (Å): 6.1056 6.1056 6.1056
angles (deg): 60.00 60.00 60.00
Positions (direct):
Rb (0.2500, 0.2500, 0.2500)
Rb (0.7500, 0.7500, 0.7500)
Cu (0.0000, 0.0000, 0.0000)
F (0.2153, 0.2153, 0.7847)
F (0.2153, 0.7847, 0.2153)
F (0.2153, 0.7847, 0.7847)
F (0.7847, 0.2153, 0.2153)
F (0.7847, 0.2153, 0.7847)
F (0.7847, 0.7847, 0.2153)

Largest 10 diffraction maxima, by angle, 10 to 90 degrees two-theta:
d/Å, Position (°2θ), I (rel.)
4.985, 17.79, 48
3.053, 29.25, 100
2.603, 34.45, 11
2.493, 36.03, 38
2.159, 41.85, 50
1.763, 51.88, 35
1.662, 55.28, 9
1.526, 60.67, 28
1.365, 68.76, 21
1.154, 83.85, 22


The following is a calculated powder diffractogram of CsMg14Mo. It was derived from a crystal structure in the Materials Project, relaxed with GGA-PBE, using Cu Kα (λ = 1.5418 Å).

a b c (Å): 10.5115 6.4875 6.4875
angles (deg): 60.74 90.00 90.00
Positions (direct):
Cs (0.0000, 0.0000, 0.0000)
Mg (0.0000, 0.4928, 0.9918)
Mg (0.0000, 0.9918, 0.4928)
Mg (0.2343, 0.6437, 0.6437)
Mg (0.2565, 0.1662, 0.6336)
Mg (0.2565, 0.6336, 0.1662)
Mg (0.2760, 0.1583, 0.1583)
Mg (0.5000, 0.4841, 0.4841)
Mg (0.5000, 0.4932, 0.9758)
Mg (0.5000, 0.9758, 0.4932)
Mg (0.5000, 0.9809, 0.9809)
Mg (0.7240, 0.1583, 0.1583)
Mg (0.7435, 0.1662, 0.6336)
Mg (0.7435, 0.6336, 0.1662)
Mg (0.7657, 0.6437, 0.6437)
Mo (0.0000, 0.4650, 0.4650)

Largest 10 diffraction maxima, by angle, 10 to 90 degrees two-theta:
d/Å, Position (°2θ), I (rel.)
5.597, 15.83, 22
5.256, 16.87, 21
4.940, 17.95, 33
3.831, 23.22, 18
2.830, 31.62, 31
2.628, 34.12, 38
2.492, 36.05, 100
2.470, 36.37, 48
1.926, 47.20, 20
1.490, 62.33, 19